(1)
The following is a computed powder diffractogram of NdAlAg2. It was derived from a cell relaxed with GGA-PBE, using Cu Ka.

Atomic structure:
a = 4.943 Å, b = 4.943 Å, c = 4.943 Å
α = 60.00°, β = 60.00°, γ = 60.00°
Element x y z (fractional)
Nd (0.000, 0.000, 0.000)
Al (0.500, 0.500, 0.500)
Ag (0.250, 0.250, 0.250)
Ag (0.750, 0.750, 0.750)

Top 8 peaks for 2θ = 10–80°, in order of rising 2θ:
2θ/deg  d_spacing  I_rel
22.0  4.036  21
36.3  2.472  100
42.9  2.108  11
52.3  1.748  17
57.5  1.604  5
65.4  1.427  34
69.9  1.345  3
77.2  1.236  11

(2)
The following is a computed powder diffractogram of AlAgO3. It was derived from a cell relaxed with GGA-PBE, using Cu Ka.

Atomic structure:
a = 5.740 Å, b = 10.014 Å, c = 4.313 Å
α = 90.00°, β = 90.00°, γ = 90.00°
Element x y z (fractional)
Al (0.176, 0.250, 0.028)
Al (0.324, 0.750, 0.528)
Al (0.676, 0.250, 0.472)
Al (0.824, 0.750, 0.972)
Ag (0.000, 0.000, 0.500)
Ag (0.000, 0.500, 0.500)
Ag (0.500, 0.000, 0.000)
Ag (0.500, 0.500, 0.000)
O (0.061, 0.750, 0.728)
O (0.213, 0.096, 0.813)
O (0.213, 0.404, 0.813)
O (0.287, 0.596, 0.313)
O (0.287, 0.904, 0.313)
O (0.439, 0.250, 0.228)
O (0.561, 0.750, 0.772)
O (0.713, 0.096, 0.687)
O (0.713, 0.404, 0.687)
O (0.787, 0.596, 0.187)
O (0.787, 0.904, 0.187)
O (0.939, 0.250, 0.272)

Top 8 peaks for 2θ = 10–80°, in order of rising 2θ:
2θ/deg  d_spacing  I_rel
17.7  5.007  43
25.8  3.448  56
31.5  2.840  100
35.9  2.503  21
36.1  2.490  27
44.7  2.026  27
56.4  1.630  25
65.0  1.434  17

Repeat the first record exactly.
The following is a computed powder diffractogram of NdAlAg2. It was derived from a cell relaxed with GGA-PBE, using Cu Ka.

Atomic structure:
a = 4.943 Å, b = 4.943 Å, c = 4.943 Å
α = 60.00°, β = 60.00°, γ = 60.00°
Element x y z (fractional)
Nd (0.000, 0.000, 0.000)
Al (0.500, 0.500, 0.500)
Ag (0.250, 0.250, 0.250)
Ag (0.750, 0.750, 0.750)

Top 8 peaks for 2θ = 10–80°, in order of rising 2θ:
2θ/deg  d_spacing  I_rel
22.0  4.036  21
36.3  2.472  100
42.9  2.108  11
52.3  1.748  17
57.5  1.604  5
65.4  1.427  34
69.9  1.345  3
77.2  1.236  11